Entry 1:
Starting from the PBE geometry in Alexandria, the powder XRD pattern of Sr6Tl3Cu3O16 was simulated for Cu Kα, 1.54184 Å.
Intensities are scaled so that the largest is 100.

Most intense lines, 2θ from 10° to 80°, in order of rising 2θ:
h k l  2θ/deg  d [Å]  I (rel.)
3 1 0  25.20  3.535  30
3 1 -3  30.66  2.916  100
0 2 0  31.65  2.827  37
6 0 -2  34.14  2.626  29
0 0 4  40.36  2.235  18
0 2 3  44.16  2.051  12
6 2 -2  47.24  1.924  28
3 3 -3  55.75  1.649  21
9 1 -5  58.97  1.566  13
6 2 -6  63.84  1.458  15

Cell and atoms:
Cell: 15.758 5.654 10.368 Å, 90.00 120.44 90.00°
Space group C2/m (No. 12)
Symmetry-distinct sites (fractional):
Sr 0.068 0.000 0.208 x4
Sr 0.099 0.500 0.796 x4
Sr 0.237 0.500 0.209 x4
Tl 0.000 0.000 0.500 x2
Tl 0.182 0.500 0.500 x4
Cu 0.000 0.500 0.000 x2
Cu 0.166 0.000 0.001 x4
O 0.000 0.379 0.500 x4
O 0.078 0.000 0.735 x4
O 0.083 0.251 0.000 x8
O 0.089 0.500 0.268 x4
O 0.168 0.000 0.500 x4
O 0.244 0.500 0.733 x4
O 0.250 0.250 0.000 x4

---

Entry 2:
Starting from the PBE geometry in Alexandria, the powder XRD pattern of Sr2YTlCu2O7 was simulated for Cu Kα, 1.54184 Å.
Intensities are scaled so that the largest is 100.

Most intense lines, 2θ from 10° to 80°, in order of rising 2θ:
h k l  2θ/deg  d [Å]  I (rel.)
0 2 1  27.42  3.252  13
1 3 0  32.10  2.788  100
1 0 1  33.02  2.713  66
0 5 0  36.91  2.435  13
0 6 0  44.72  2.027  22
0 0 2  47.26  1.923  16
2 0 0  47.52  1.913  18
1 6 1  56.63  1.625  15
1 3 2  58.30  1.583  17
2 3 1  58.48  1.578  18

Cell and atoms:
Cell: 3.827 12.177 3.847 Å, 90.00 90.00 90.00°
Space group Pmm2 (No. 25)
Symmetry-distinct sites (fractional):
Sr 0.000 0.207 0.000 x2
Y 0.000 0.500 0.997 x1
Tl 0.500 0.000 0.555 x1
Cu 0.500 0.362 0.497 x2
O 0.000 0.000 0.927 x1
O 0.000 0.381 0.498 x2
O 0.500 0.174 0.480 x2
O 0.500 0.380 0.997 x2

---

Entry 3:
Starting from the PBE geometry in Alexandria, the powder XRD pattern of Sr6YTl3Cu6O21 was simulated for Cu Kα, 1.54184 Å.
Intensities are scaled so that the largest is 100.

Most intense lines, 2θ from 10° to 80°, in order of rising 2θ:
h k l  2θ/deg  d [Å]  I (rel.)
0 3 2  27.91  3.197  71
1 0 3  32.03  2.794  100
1 3 0  34.43  2.605  69
0 0 5  34.88  2.573  30
1 3 1  35.15  2.553  19
2 0 0  49.48  1.842  36
1 3 5  49.82  1.830  36
2 3 2  57.77  1.596  20
2 3 3  60.17  1.538  34
2 0 5  61.96  1.498  21

Cell and atoms:
Cell: 3.687 11.044 12.863 Å, 90.00 90.00 90.00°
Space group Pmmm (No. 47)
Symmetry-distinct sites (fractional):
Sr 0.000 0.000 0.207 x2
Sr 0.000 0.333 0.203 x4
Y 0.000 0.000 0.500 x1
Tl 0.500 0.164 0.000 x2
Tl 0.500 0.500 0.000 x1
Cu 0.500 0.181 0.375 x4
Cu 0.500 0.500 0.380 x2
O 0.000 0.000 0.000 x1
O 0.000 0.155 0.371 x4
O 0.000 0.325 0.000 x2
O 0.000 0.500 0.355 x2
O 0.500 0.000 0.388 x2
O 0.500 0.162 0.166 x4
O 0.500 0.339 0.341 x4
O 0.500 0.500 0.159 x2